(1)
Simulated powder diffractogram of CaMn9CdO10 for Cu Kα X-rays, from a crystal structure in Alexandria, relaxed with GGA+U.

Unit cell a=6.345 b=17.378 c=5.952 alpha=90.00 beta=117.00 gamma=90.00
Space group Cm (No. 8)
Unique sites:
Ca1 0.000 0.000 0.000 x2
Mn1 0.114 0.500 0.243 x2
Mn2 0.374 0.173 0.012 x4
Mn3 0.385 0.292 0.678 x4
Mn4 0.429 0.344 0.223 x4
Mn5 0.490 0.101 0.597 x4
Cd1 0.113 0.000 0.571 x2
O1 0.063 0.124 0.974 x4
O2 0.090 0.500 0.886 x2
O3 0.156 0.367 0.362 x4
O4 0.170 0.287 0.920 x4
O5 0.212 0.176 0.570 x4
O6 0.360 0.000 0.364 x2

Main lines, in order of falling intensity (2θ from 15° to 90°):
hkl 0 6 0, 30.9°, I = 100; hkl 1 3 -2, 33.9°, I = 97; hkl 2 2 0, 33.3°, I = 58; hkl 1 5 1, 38.2°, I = 50; hkl 1 3 1, 31.9°, I = 47; hkl 1 5 2, 51.4°, I = 45; hkl 2 2 -2, 35.9°, I = 43; hkl 3 1 -2, 44.9°, I = 37

(2)
Simulated powder diffractogram of CaMn9CdO10 for Cu Kα X-rays, from a crystal structure in Alexandria, relaxed with GGA+U.

Unit cell a=5.554 b=5.609 c=8.591 alpha=95.63 beta=91.40 gamma=99.00
Space group P1 (No. 1)
Unique sites:
Ca1 0.000 0.000 0.000 x1
Mn1 0.098 0.543 0.170 x1
Mn2 0.188 0.088 0.358 x1
Mn3 0.294 0.633 0.526 x1
Mn4 0.373 0.178 0.710 x1
Mn5 0.468 0.716 0.900 x1
Mn6 0.548 0.271 0.085 x1
Mn7 0.641 0.815 0.269 x1
Mn8 0.738 0.353 0.444 x1
Mn9 0.903 0.427 0.804 x1
Cd1 0.896 0.875 0.646 x1
O1 0.060 0.298 0.578 x1
O2 0.226 0.375 0.942 x1
O3 0.336 0.900 0.125 x1
O4 0.418 0.447 0.306 x1
O5 0.499 0.994 0.487 x1
O6 0.581 0.525 0.674 x1
O7 0.657 0.090 0.863 x1
O8 0.775 0.619 0.030 x1
O9 0.869 0.180 0.225 x1
O10 0.966 0.718 0.380 x1

Main lines, in order of falling intensity (2θ from 15° to 90°):
hkl 1 1 2, 34.0°, I = 100; hkl -1 1 3, 38.9°, I = 50; hkl 1 2 -1, 39.2°, I = 49; hkl 2 -1 2, 40.1°, I = 37; hkl 1 0 5, 57.1°, I = 23; hkl 0 3 2, 56.6°, I = 15; hkl 2 1 -4, 56.3°, I = 14; hkl 1 -3 3, 57.3°, I = 12